Theoretical powder diffraction line list of Y2MnGa6 for CuKα, from the GGA-PBE geometry in Alexandria.
Intensities are scaled so that the largest is 100.

Top 6 peaks for 10° ≤ 2θ ≤ 80°, in order of rising 2θ:
| 2θ (°) | I/Imax |
| --- | --- |
| 35.5 | 100 |
| 41.3 | 70 |
| 45.2 | 18 |
| 54.5 | 13 |
| 59.8 | 39 |
| 71.5 | 27 |

Crystal structure
Cell: 6.1858 6.1858 6.1858 Å, 60.00 60.00 60.00°
Fractional positions:
Y (0.2500, 0.2500, 0.2500)
Y (0.7500, 0.7500, 0.7500)
Mn (0.0000, 0.0000, 0.0000)
Ga (0.2803, 0.2803, 0.7197)
Ga (0.2803, 0.7197, 0.2803)
Ga (0.2803, 0.7197, 0.7197)
Ga (0.7197, 0.2803, 0.2803)
Ga (0.7197, 0.2803, 0.7197)
Ga (0.7197, 0.7197, 0.2803)


Theoretical powder diffraction line list of MnZnGa for CuKα, from the GGA-PBE geometry in Alexandria.
Intensities are scaled so that the largest is 100.

Top 6 peaks for 10° ≤ 2θ ≤ 80°, in order of rising 2θ:
| 2θ (°) | I/Imax |
| --- | --- |
| 40.6 | 100 |
| 46.5 | 17 |
| 46.6 | 17 |
| 48.5 | 13 |
| 68.0 | 10 |
| 69.4 | 8 |

Crystal structure
Cell: 3.9048 11.2670 3.8944 Å, 90.00 90.00 90.00°
Fractional positions:
Mn (0.0000, 0.2478, 0.2500)
Mn (0.0000, 0.7522, 0.7500)
Mn (0.5000, 0.2522, 0.7500)
Mn (0.5000, 0.7478, 0.2500)
Zn (0.0000, 0.0889, 0.7500)
Zn (0.0000, 0.9111, 0.2500)
Zn (0.5000, 0.4111, 0.2500)
Zn (0.5000, 0.5889, 0.7500)
Ga (0.0000, 0.4018, 0.7500)
Ga (0.0000, 0.5982, 0.2500)
Ga (0.5000, 0.0982, 0.2500)
Ga (0.5000, 0.9018, 0.7500)


Theoretical powder diffraction line list of Mn3Zn3Ga2 for CuKα, from the GGA-PBE geometry in Alexandria.
Intensities are scaled so that the largest is 100.

Top 6 peaks for 10° ≤ 2θ ≤ 80°, in order of rising 2θ:
| 2θ (°) | I/Imax |
| --- | --- |
| 38.6 | 33 |
| 42.2 | 100 |
| 44.3 | 78 |
| 58.6 | 18 |
| 66.9 | 14 |
| 77.2 | 13 |

Crystal structure
Cell: 4.2765 10.5741 4.9426 Å, 90.00 90.00 90.00°
Fractional positions:
Mn (0.2500, 0.1338, 0.1394)
Mn (0.2500, 0.3662, 0.1394)
Mn (0.2500, 0.7500, 0.6716)
Mn (0.7500, 0.2500, 0.3284)
Mn (0.7500, 0.6338, 0.8606)
Mn (0.7500, 0.8662, 0.8606)
Zn (0.2500, 0.2500, 0.6304)
Zn (0.2500, 0.5017, 0.6533)
Zn (0.2500, 0.9983, 0.6533)
Zn (0.7500, 0.0017, 0.3467)
Zn (0.7500, 0.4983, 0.3467)
Zn (0.7500, 0.7500, 0.3696)
Ga (0.2500, 0.6214, 0.1482)
Ga (0.2500, 0.8786, 0.1482)
Ga (0.7500, 0.1214, 0.8518)
Ga (0.7500, 0.3786, 0.8518)


Theoretical powder diffraction line list of Zr8MnGa2 for CuKα, from the GGA-PBE geometry in Alexandria.
Intensities are scaled so that the largest is 100.

Top 6 peaks for 10° ≤ 2θ ≤ 80°, in order of rising 2θ:
| 2θ (°) | I/Imax |
| --- | --- |
| 30.6 | 13 |
| 36.0 | 37 |
| 36.6 | 30 |
| 38.5 | 100 |
| 66.4 | 19 |
| 71.9 | 14 |

Crystal structure
Cell: 8.1348 8.1348 8.1348 Å, 144.31 133.49 59.97°
Fractional positions:
Zr (0.1308, 0.3674, 0.7635)
Zr (0.1822, 0.1822, 0.0000)
Zr (0.2564, 0.0000, 0.2564)
Zr (0.3961, 0.6326, 0.7635)
Zr (0.6039, 0.3674, 0.2365)
Zr (0.7436, 0.0000, 0.7436)
Zr (0.8178, 0.8178, 0.0000)
Zr (0.8692, 0.6326, 0.2365)
Mn (0.0000, 0.5000, 0.5000)
Ga (0.3130, 0.8130, 0.5000)
Ga (0.6870, 0.1870, 0.5000)


What did the second record say?
Theoretical powder diffraction line list of MnZnGa for CuKα, from the GGA-PBE geometry in Alexandria.
Intensities are scaled so that the largest is 100.

Top 6 peaks for 10° ≤ 2θ ≤ 80°, in order of rising 2θ:
| 2θ (°) | I/Imax |
| --- | --- |
| 40.6 | 100 |
| 46.5 | 17 |
| 46.6 | 17 |
| 48.5 | 13 |
| 68.0 | 10 |
| 69.4 | 8 |

Crystal structure
Cell: 3.9048 11.2670 3.8944 Å, 90.00 90.00 90.00°
Fractional positions:
Mn (0.0000, 0.2478, 0.2500)
Mn (0.0000, 0.7522, 0.7500)
Mn (0.5000, 0.2522, 0.7500)
Mn (0.5000, 0.7478, 0.2500)
Zn (0.0000, 0.0889, 0.7500)
Zn (0.0000, 0.9111, 0.2500)
Zn (0.5000, 0.4111, 0.2500)
Zn (0.5000, 0.5889, 0.7500)
Ga (0.0000, 0.4018, 0.7500)
Ga (0.0000, 0.5982, 0.2500)
Ga (0.5000, 0.0982, 0.2500)
Ga (0.5000, 0.9018, 0.7500)